Structure and computed powder X-ray diffraction pattern of SmO2F3 (a crystal structure in Alexandria, relaxed with PBE; CuKα).

Cell and atoms:
Cell: 11.268 5.962 5.440 Å, 90.00 109.00 90.00°
Space group C2/c (No. 15)
Unique sites:
Sm1 0.000 0.218 0.250 [4 per cell]
O1 0.168 0.463 0.149 [8 per cell]
F1 0.000 0.385 0.750 [4 per cell]
F2 0.121 0.016 0.588 [8 per cell]

The 10 most intense peaks (15 to 90 degrees two-theta), sorted by position:
two_theta	d_spacing	intensity
16.6	5.327	100
22.3	3.988	75
26.2	3.397	53
29.6	3.021	36
34.5	2.601	31
34.9	2.572	18
40.0	2.252	19
43.8	2.067	18
45.5	1.994	24
45.7	1.986	22

***

Structure and computed powder X-ray diffraction pattern of Sn3O2F2 (a crystal structure in Alexandria, relaxed with PBE; CuKα).

Cell and atoms:
Cell: 6.127 7.716 6.009 Å, 90.00 108.76 90.00°
Space group P2_1/c (No. 14)
Unique sites:
Sn1 0.000 0.000 0.000 [2 per cell]
Sn2 0.344 0.016 0.667 [4 per cell]
O1 0.335 0.089 0.327 [4 per cell]
F1 0.144 0.710 0.008 [4 per cell]

The 10 most intense peaks (15 to 90 degrees two-theta), sorted by position:
two_theta	d_spacing	intensity
23.1	3.858	77
27.8	3.213	100
30.2	2.958	49
32.0	2.800	71
38.3	2.348	44
43.5	2.079	35
46.5	1.954	26
49.5	1.842	26
53.0	1.729	23
57.3	1.607	33

***

Structure and computed powder X-ray diffraction pattern of Sn3O2F2 (a crystal structure in Alexandria, relaxed with PBE; CuKα).

Cell and atoms:
Cell: 12.251 5.483 9.217 Å, 90.00 90.00 90.00°
Space group Pnma (No. 62)
Unique sites:
Sn1 0.069 0.250 0.092 [4 per cell]
Sn2 0.084 0.250 0.706 [4 per cell]
Sn3 0.218 0.750 0.868 [4 per cell]
O1 0.080 0.003 0.898 [8 per cell]
F1 0.158 0.750 0.655 [4 per cell]
F2 0.248 0.750 0.236 [4 per cell]

The 10 most intense peaks (15 to 90 degrees two-theta), sorted by position:
two_theta	d_spacing	intensity
17.4	5.101	36
21.8	4.085	26
26.3	3.390	54
28.9	3.086	28
29.2	3.056	43
32.7	2.742	43
33.5	2.677	100
44.4	2.041	54
53.9	1.701	20
58.8	1.570	25

***

Structure and computed powder X-ray diffraction pattern of Sr2OF2 (a crystal structure in Alexandria, relaxed with PBE; CuKα).

Cell and atoms:
Cell: 8.798 6.289 6.338 Å, 90.00 91.50 90.00°
Space group P2_1/c (No. 14)
Unique sites:
Sr1 0.097 0.051 0.261 [4 per cell]
Sr2 0.326 0.563 0.307 [4 per cell]
O1 0.103 0.736 0.495 [4 per cell]
F1 0.259 0.221 0.539 [4 per cell]
F2 0.421 0.606 0.681 [4 per cell]

The 10 most intense peaks (15 to 90 degrees two-theta), sorted by position:
two_theta	d_spacing	intensity
28.2	3.164	100
28.4	3.144	22
28.8	3.104	82
31.8	2.817	27
36.4	2.471	41
38.2	2.354	19
40.4	2.232	39
48.1	1.892	27
50.5	1.806	27
54.9	1.673	18

***

Please write out number 1 again, unchanged.
Structure and computed powder X-ray diffraction pattern of SmO2F3 (a crystal structure in Alexandria, relaxed with PBE; CuKα).

Cell and atoms:
Cell: 11.268 5.962 5.440 Å, 90.00 109.00 90.00°
Space group C2/c (No. 15)
Unique sites:
Sm1 0.000 0.218 0.250 [4 per cell]
O1 0.168 0.463 0.149 [8 per cell]
F1 0.000 0.385 0.750 [4 per cell]
F2 0.121 0.016 0.588 [8 per cell]

The 10 most intense peaks (15 to 90 degrees two-theta), sorted by position:
two_theta	d_spacing	intensity
16.6	5.327	100
22.3	3.988	75
26.2	3.397	53
29.6	3.021	36
34.5	2.601	31
34.9	2.572	18
40.0	2.252	19
43.8	2.067	18
45.5	1.994	24
45.7	1.986	22